The following is a theoretical powder diffractogram of NdH6C3O9. It was derived from a cell relaxed with GGA-PBE, using Cu Kα, 1.54184 Å.
Lines closer than 0.1° are merged.

Main lines, low angle first (10 to 90 degrees two-theta):
- 10.17°, d 8.695, I = 23, (0 0 1)
- 14.09°, d 6.283, I = 100, (0 1 -1)
- 14.89°, d 5.950, I = 91, (1 0 0)
- 16.90°, d 5.247, I = 29, (0 1 1)
- 20.05°, d 4.429, I = 26, (-1 1 1)
- 20.42°, d 4.349, I = 39, (1 -1 1)
- 20.70°, d 4.292, I = 22, (1 1 -1)
- 23.98°, d 3.711, I = 19, (0 2 -1)
- 25.43°, d 3.503, I = 23, (0 1 2)
- 30.04°, d 2.975, I = 17, (2 0 0)
- 33.13°, d 2.704, I = 28, (2 -1 1)
- 44.20°, d 2.049, I = 22, (-1 3 2)

Cell and atoms:
Lattice parameters (Å, degrees): 6.089 7.734 8.929 99.07 98.14 97.73
Space group P-1 (No. 2)
Inequivalent atoms, fractional coordinates:
Nd: 0.010 0.306 0.296
H: 0.046 0.371 0.860
H: 0.208 0.682 0.222
H: 0.352 0.749 0.004
H: 0.376 0.953 0.284
H: 0.421 0.114 0.789
H: 0.450 0.659 0.857
C: 0.078 0.067 0.967
C: 0.119 0.983 0.486
C: 0.445 0.529 0.571
O: 0.065 0.603 0.220
O: 0.125 0.225 0.042
O: 0.146 0.009 0.844
O: 0.196 0.861 0.544
O: 0.219 0.082 0.407
O: 0.231 0.500 0.552
O: 0.312 0.672 0.902
O: 0.416 0.857 0.209
O: 0.425 0.398 0.307